Computed PXRD pattern
Compound: LiCo2F5
Radiation: copper Kα
Structure: DFT lattice parameters and positions (PBE+U)
Peak positions follow from Bragg's law for the DFT cell and can differ from measured ones.

Crystal structure
```
LiCo2F5
1.0
8.2793 0.0000 0.0000
0.0000 8.7106 0.0000
0.0000 0.0000 6.2726
Li Co F
4 8 20
Direct
0.2495 0.2350 0.0000
0.2505 0.7350 0.5000
0.7495 0.2650 0.5000
0.7505 0.7650 0.0000
0.0000 0.0000 0.2548
0.0000 0.0000 0.7452
0.1331 0.6347 0.0000
0.3669 0.1347 0.5000
0.5000 0.5000 0.2452
0.5000 0.5000 0.7548
0.6331 0.8653 0.5000
0.8669 0.3653 0.0000
0.0651 0.8586 0.5000
0.0823 0.8651 0.0000
0.1025 0.3963 0.0000
0.2194 0.1151 0.2495
0.2194 0.1151 0.7505
0.2806 0.6151 0.2505
0.2806 0.6151 0.7495
0.3975 0.8963 0.5000
0.4177 0.3651 0.5000
0.4349 0.3586 0.0000
0.5651 0.6414 0.0000
0.5823 0.6349 0.5000
0.6025 0.1037 0.5000
0.7194 0.3849 0.2505
0.7194 0.3849 0.7495
0.7806 0.8849 0.2495
0.7806 0.8849 0.7505
0.8975 0.6037 0.0000
0.9177 0.1349 0.0000
0.9349 0.1414 0.5000
```

Largest 8 diffraction maxima, low angle first, 2θ from 5° to 70°:
14.76 deg, rel. 100.0, hkl 1 1 0
17.42 deg, rel. 88.4, hkl 0 1 1
17.74 deg, rel. 76.5, hkl 1 0 1
20.43 deg, rel. 43.6, hkl 0 2 0
23.07 deg, rel. 42.7, hkl 1 2 0
32.20 deg, rel. 80.0, hkl 1 1 2
34.06 deg, rel. 52.9, hkl 3 1 0
53.01 deg, rel. 35.1, hkl 4 0 2